# 1
Diffraction record for Pr3Ho8Sc. The powder diffraction line list is theoretical, not measured: it uses a PBE-relaxed structure and Cu Kα, 1.54184 Å.

The 6 most intense peaks (2θ from 5° to 70°), low angle first:
2theta  I/Imax
24.13  94.1
25.81  90.7
28.94  81.8
31.74  81.4
33.09  80.5
36.24  100.0

a b c (Å): 8.3600 8.3600 8.3600
angles (deg): 117.07 117.07 95.15
Atoms (fractional coordinates):
Pr 0.0000 0.0000 0.0000
Pr 0.2500 0.7500 0.5000
Pr 0.7500 0.2500 0.5000
Ho 0.1362 0.3873 0.0000
Ho 0.2404 0.2404 0.5348
Ho 0.2943 0.7596 0.0000
Ho 0.3873 0.1362 0.0000
Ho 0.6127 0.6127 0.7490
Ho 0.7057 0.7057 0.4652
Ho 0.7596 0.2943 0.0000
Ho 0.8638 0.8638 0.2510
Sc 0.5000 0.5000 0.0000

***

# 2
Diffraction record for IrPtS. The powder diffraction line list is theoretical, not measured: it uses a PBE-relaxed structure and Cu Kα, 1.54184 Å.

The 6 most intense peaks (2θ from 5° to 70°), low angle first:
2theta  I/Imax
16.44  69.8
31.13  60.7
32.50  76.9
34.05  99.6
36.06  97.5
45.68  100.0

a b c (Å): 11.3444 3.4572 5.2299
angles (deg): 90.00 108.04 90.00
Atoms (fractional coordinates):
Ir 0.0000 0.0000 0.0000
Ir 0.2493 0.5000 0.6619
Ir 0.5000 0.5000 0.0000
Ir 0.7493 0.0000 0.6619
Pt 0.3083 0.5000 0.1992
Pt 0.4249 0.0000 0.5718
Pt 0.8083 0.0000 0.1992
Pt 0.9249 0.5000 0.5718
S 0.0620 0.5000 0.3097
S 0.1886 0.0000 0.9048
S 0.5620 0.0000 0.3097
S 0.6886 0.5000 0.9048

***

# 3
Diffraction record for Cs4SnI5. The powder diffraction line list is theoretical, not measured: it uses a PBE-relaxed structure and Cu Kα, 1.54184 Å.

The 6 most intense peaks (2θ from 5° to 70°), low angle first:
2theta  I/Imax
22.53  60.1
23.67  100.0
32.91  85.1
33.72  36.2
40.93  41.9
52.37  22.3

a b c (Å): 9.2863 9.2863 9.2863
angles (deg): 100.40 100.40 129.71
Atoms (fractional coordinates):
Cs 0.0917 0.7049 0.7965
Cs 0.2951 0.0917 0.3868
Cs 0.7049 0.9083 0.6132
Cs 0.9083 0.2951 0.2035
Sn 0.5080 0.5080 0.0000
I 0.0162 0.0162 0.0000
I 0.2339 0.4146 0.6447
I 0.4146 0.7699 0.1807
I 0.5892 0.2339 0.8193
I 0.7699 0.5892 0.3553

***

# 4
Diffraction record for Na2Tl5Sn4. The powder diffraction line list is theoretical, not measured: it uses a PBE-relaxed structure and Cu Kα, 1.54184 Å.

The 6 most intense peaks (2θ from 5° to 70°), low angle first:
2theta  I/Imax
31.93  30.3
32.31  28.1
32.81  100.0
46.08  15.0
57.46  20.7
58.90  11.1

a b c (Å): 9.5543 9.5543 6.3109
angles (deg): 91.36 91.36 34.12
Atoms (fractional coordinates):
Na 0.0981 0.0981 0.0475
Na 0.9019 0.9019 0.9525
Tl 0.0000 0.0000 0.5000
Tl 0.1914 0.1914 0.5678
Tl 0.2876 0.2876 0.0893
Tl 0.7124 0.7124 0.9107
Tl 0.8086 0.8086 0.4322
Sn 0.3776 0.3776 0.6384
Sn 0.4621 0.4621 0.2167
Sn 0.5379 0.5379 0.7833
Sn 0.6224 0.6224 0.3616